For Cs2Tl12AgPt3, a cell relaxed with PBE gives the simulated powder diffractogram in this record (λ = 1.5418 Å (Cu Kα)).
Peak positions follow from Bragg's law for the DFT cell and can differ from measured ones.

Cell and atoms:
Unit cell a=9.0244 b=9.0244 c=9.0244 alpha=72.64 beta=72.64 gamma=72.64
Fractional positions:
Cs 0.0998 0.0998 0.0998
Cs 0.9002 0.9002 0.9002
Tl 0.1464 0.6373 0.6373
Tl 0.2295 0.2295 0.5838
Tl 0.2295 0.5838 0.2295
Tl 0.3627 0.3627 0.8536
Tl 0.3627 0.8536 0.3627
Tl 0.4162 0.7705 0.7705
Tl 0.5838 0.2295 0.2295
Tl 0.6373 0.1464 0.6373
Tl 0.6373 0.6373 0.1464
Tl 0.7705 0.4162 0.7705
Tl 0.7705 0.7705 0.4162
Tl 0.8536 0.3627 0.3627
Ag 0.5000 0.5000 0.5000
Pt 0.0000 0.5000 0.5000
Pt 0.5000 0.0000 0.5000
Pt 0.5000 0.5000 0.0000

Peak list (12 most intense, 10° ≤ 2θ ≤ 90°, by intensity)
d [Å], 2θ/deg, I (rel.)
8.383, 10.6, 100
2.673, 33.5, 100
3.294, 27.1, 79
4.507, 19.7, 72
2.299, 39.2, 43
2.252, 40.0, 42
2.409, 37.3, 34
1.789, 51.0, 31
2.699, 33.2, 31
2.075, 43.6, 30
1.721, 53.2, 30
1.697, 54.0, 27